The following is a simulated X-ray powder pattern of Ti8Ge2W. It was derived from a crystal structure in Alexandria, relaxed with GGA-PBE, using Cu Kα (weighted mean of Kα1 and Kα2).
Lines closer than 0.1° are merged.

Structural model:
```
data_Ti8Ge2W
_chemical_formula_sum 'Ti16 Ge4 W2'
_space_group_name_H-M_alt 'C 1 2/m 1'
_space_group_IT_number 12
_cell_length_a 14.7084
_cell_length_b 4.0328
_cell_length_c 6.8956
_cell_angle_alpha 90.00
_cell_angle_beta 115.75
_cell_angle_gamma 90.00
loop_
_space_group_symop_operation_xyz
'x,y,z'
'-x,-y,-z'
'-x,y,-z'
'x,-y,z'
'x+1/2,y+1/2,z'
'-x+1/2,-y+1/2,-z'
'-x+1/2,y+1/2,-z'
'x+1/2,-y+1/2,z'
loop_
_atom_site_label
_atom_site_type_symbol
_atom_site_fract_x
_atom_site_fract_y
_atom_site_fract_z
Ti1 Ti 0.0374 0.0000 0.2913
Ti2 Ti 0.0837 0.5000 0.9495
Ti3 Ti 0.1718 0.0000 0.7597
Ti4 Ti 0.1751 0.5000 0.4181
Ge1 Ge 0.1947 0.0000 0.1671
W1 W 0.0000 0.5000 0.5000
```

Peak list (6 most intense, 5° ≤ 2θ ≤ 70°, by angle)
- 2θ = 30.01°, I 31, hkl 3 1 0
- 2θ = 37.86°, I 94, hkl 5 1 -1
- 2θ = 39.49°, I 100, hkl 1 1 2
- 2θ = 40.55°, I 38, hkl 5 1 -2
- 2θ = 44.96°, I 44, hkl 0 2 0
- 2θ = 45.44°, I 30, hkl 3 1 -3